Starting from the PBE geometry in Alexandria, the powder X-ray diffraction pattern of YErAlGa was calculated for copper Kα.
Kinematic intensities with the Lorentz-polarization factor, no thermal factor.

Largest 10 diffraction maxima, low angle first, 10° ≤ 2θ ≤ 90°:
2θ/deg	I (rel.)
21.86	37
27.35	33
31.12	100
31.88	50
32.69	29
39.02	49
39.70	19
41.16	25
44.67	20
55.92	20

Unit cell a=4.0571 b=5.9017 c=5.9017 alpha=43.63 beta=90.00 gamma=90.00
Positions (direct):
Y 0.0000 0.0000 0.0000
Er 0.5000 0.7193 0.7193
Al 0.0000 0.2873 0.2873
Ga 0.5000 0.4377 0.4377